[1]
Theoretical PXRD pattern
Compound: Sm2Zn3Ge4
Radiation: λ = 1.5418 Å (Cu Kα)
Structure: the PBE geometry in Alexandria
Intensities are scaled so that the largest is 100.

Cell: 8.1998 8.1998 7.8473 Å, 90.00 90.00 138.09°
Atoms (fractional coordinates):
Sm 0.1156 0.8844 0.9166
Sm 0.3844 0.6156 0.4166
Sm 0.6156 0.3844 0.5834
Sm 0.8844 0.1156 0.0834
Zn 0.0000 0.0000 0.5000
Zn 0.0369 0.4631 0.7500
Zn 0.4631 0.0369 0.2500
Zn 0.5000 0.5000 0.0000
Zn 0.5369 0.9631 0.7500
Zn 0.9631 0.5369 0.2500
Ge 0.1891 0.8109 0.5478
Ge 0.2023 0.2977 0.7500
Ge 0.2977 0.2023 0.2500
Ge 0.3109 0.6891 0.0478
Ge 0.6891 0.3109 0.9522
Ge 0.7023 0.7977 0.7500
Ge 0.7977 0.7023 0.2500
Ge 0.8109 0.1891 0.4522

Most intense lines, 2θ from 10° to 90°, by angle:
- 2θ = 32.6°, rel. 53
- 2θ = 34.7°, rel. 58
- 2θ = 35.0°, rel. 100
- 2θ = 36.3°, rel. 66
- 2θ = 37.0°, rel. 35
- 2θ = 38.3°, rel. 84
- 2θ = 38.7°, rel. 25
- 2θ = 50.2°, rel. 19
- 2θ = 52.4°, rel. 23
- 2θ = 57.1°, rel. 24
- 2θ = 59.6°, rel. 25
- 2θ = 75.3°, rel. 16



[2]
Theoretical PXRD pattern
Compound: Sm2ZnGe
Radiation: λ = 1.5418 Å (Cu Kα)
Structure: the PBE geometry in Alexandria
Intensities are scaled so that the largest is 100.

Cell: 5.9825 4.1480 8.5401 Å, 90.00 109.91 90.00°
Atoms (fractional coordinates):
Sm 0.2109 0.2500 0.4237
Sm 0.2845 0.7500 0.0647
Sm 0.7155 0.2500 0.9353
Sm 0.7891 0.7500 0.5763
Zn 0.1510 0.2500 0.7827
Zn 0.8490 0.7500 0.2173
Ge 0.3661 0.7500 0.7085
Ge 0.6339 0.2500 0.2915

Most intense lines, 2θ from 10° to 90°, by angle:
- 2θ = 26.8°, rel. 26
- 2θ = 31.0°, rel. 100
- 2θ = 31.8°, rel. 47
- 2θ = 32.0°, rel. 25
- 2θ = 38.7°, rel. 48
- 2θ = 38.9°, rel. 21
- 2θ = 42.0°, rel. 24
- 2θ = 43.6°, rel. 22
- 2θ = 55.0°, rel. 20
- 2θ = 62.0°, rel. 15
- 2θ = 62.2°, rel. 15
- 2θ = 78.9°, rel. 15



[3]
Theoretical PXRD pattern
Compound: Sm2Zn3Ge
Radiation: λ = 1.5418 Å (Cu Kα)
Structure: the PBE geometry in Alexandria
Intensities are scaled so that the largest is 100.

Cell: 3.9834 4.3013 7.5926 Å, 90.00 90.00 90.00°
Atoms (fractional coordinates):
Sm 0.0000 0.0000 0.0000
Sm 0.0000 0.5000 0.4716
Zn 0.5000 0.0000 0.6570
Zn 0.5000 0.5000 0.1479
Zn 0.5000 0.5000 0.8169
Ge 0.5000 0.0000 0.3240

Most intense lines, 2θ from 10° to 90°, by angle:
- 2θ = 23.8°, rel. 13
- 2θ = 32.6°, rel. 49
- 2θ = 32.8°, rel. 100
- 2θ = 41.4°, rel. 45
- 2θ = 42.0°, rel. 22
- 2θ = 45.5°, rel. 18
- 2θ = 53.5°, rel. 12
- 2θ = 54.2°, rel. 23
- 2θ = 63.2°, rel. 25
- 2θ = 63.7°, rel. 13
- 2θ = 70.2°, rel. 10
- 2θ = 71.0°, rel. 10



[4]
Theoretical PXRD pattern
Compound: Sm2Zn16Ge
Radiation: λ = 1.5418 Å (Cu Kα)
Structure: the PBE geometry in Alexandria
Intensities are scaled so that the largest is 100.

Cell: 6.8304 6.8304 6.8304 Å, 83.82 83.82 83.82°
Atoms (fractional coordinates):
Sm 0.0000 0.0000 0.0000
Sm 0.3329 0.3329 0.3329
Zn 0.0182 0.0182 0.4987
Zn 0.0182 0.4987 0.0182
Zn 0.1776 0.6616 0.6616
Zn 0.3186 0.3186 0.8325
Zn 0.3186 0.8325 0.3186
Zn 0.3618 0.6671 0.9725
Zn 0.3618 0.9725 0.6671
Zn 0.4987 0.0182 0.0182
Zn 0.5716 0.5716 0.5716
Zn 0.6616 0.1776 0.6616
Zn 0.6616 0.6616 0.1776
Zn 0.6671 0.3618 0.9725
Zn 0.6671 0.9725 0.3618
Zn 0.8325 0.3186 0.3186
Zn 0.9725 0.3618 0.6671
Zn 0.9725 0.6671 0.3618
Ge 0.7685 0.7685 0.7685

Most intense lines, 2θ from 10° to 90°, by angle:
- 2θ = 28.4°, rel. 23
- 2θ = 34.0°, rel. 40
- 2θ = 35.7°, rel. 18
- 2θ = 39.5°, rel. 55
- 2θ = 40.0°, rel. 100
- 2θ = 41.5°, rel. 45
- 2θ = 44.9°, rel. 30
- 2θ = 58.7°, rel. 16
- 2θ = 65.0°, rel. 18
- 2θ = 71.6°, rel. 20
- 2θ = 74.8°, rel. 20
- 2θ = 86.4°, rel. 15



[5]
Theoretical PXRD pattern
Compound: SmZr4Ge4
Radiation: λ = 1.5418 Å (Cu Kα)
Structure: the PBE geometry in Alexandria
Intensities are scaled so that the largest is 100.

Cell: 8.9362 8.9362 5.3935 Å, 90.00 90.00 90.00°
Atoms (fractional coordinates):
Sm 0.2500 0.2500 0.2500
Sm 0.7500 0.7500 0.7500
Zr 0.1086 0.6363 0.1392
Zr 0.1363 0.8914 0.6392
Zr 0.3637 0.6086 0.6392
Zr 0.3914 0.8637 0.1392
Zr 0.6086 0.1363 0.8608
Zr 0.6363 0.3914 0.3608
Zr 0.8637 0.1086 0.3608
Zr 0.8914 0.3637 0.8608
Ge 0.0511 0.6009 0.6507
Ge 0.1009 0.9489 0.1507
Ge 0.3991 0.5511 0.1507
Ge 0.4489 0.8991 0.6507
Ge 0.5511 0.1009 0.3493
Ge 0.6009 0.4489 0.8493
Ge 0.8991 0.0511 0.8493
Ge 0.9489 0.3991 0.3493

Most intense lines, 2θ from 10° to 90°, by angle:
- 2θ = 19.2°, rel. 39
- 2θ = 27.8°, rel. 23
- 2θ = 28.2°, rel. 12
- 2θ = 31.7°, rel. 100
- 2θ = 34.7°, rel. 48
- 2θ = 40.0°, rel. 36
- 2θ = 40.4°, rel. 15
- 2θ = 45.1°, rel. 22
- 2θ = 45.4°, rel. 56
- 2θ = 46.6°, rel. 14
- 2θ = 54.3°, rel. 13
- 2θ = 62.3°, rel. 18



[6]
Theoretical PXRD pattern
Compound: SnGe
Radiation: λ = 1.5418 Å (Cu Kα)
Structure: the PBE geometry in Alexandria
Intensities are scaled so that the largest is 100.

Cell: 7.6506 7.6506 7.6506 Å, 90.00 90.00 90.00°
Atoms (fractional coordinates):
Sn 0.0000 0.2500 0.5000
Sn 0.0000 0.7500 0.5000
Sn 0.2500 0.5000 0.0000
Sn 0.5000 0.0000 0.2500
Sn 0.5000 0.0000 0.7500
Sn 0.7500 0.5000 0.0000
Ge 0.0000 0.5000 0.2500
Ge 0.0000 0.5000 0.7500
Ge 0.2500 0.0000 0.5000
Ge 0.5000 0.2500 0.0000
Ge 0.5000 0.7500 0.0000
Ge 0.7500 0.0000 0.5000

Most intense lines, 2θ from 10° to 90°, by angle:
- 2θ = 16.4°, rel. 100
- 2θ = 23.3°, rel. 22
- 2θ = 28.6°, rel. 53
- 2θ = 33.1°, rel. 18
- 2θ = 37.2°, rel. 26
- 2θ = 40.9°, rel. 61
- 2θ = 44.3°, rel. 32
- 2θ = 47.5°, rel. 30
- 2θ = 50.6°, rel. 17
- 2θ = 61.8°, rel. 18
- 2θ = 69.5°, rel. 19
- 2θ = 83.9°, rel. 24



[7]
Theoretical PXRD pattern
Compound: Sr3Sn2Ge3
Radiation: λ = 1.5418 Å (Cu Kα)
Structure: the PBE geometry in Alexandria
Intensities are scaled so that the largest is 100.

Cell: 6.4428 6.4428 15.5919 Å, 90.00 90.00 134.95°
Atoms (fractional coordinates):
Sr 0.0548 0.9452 0.6156
Sr 0.0548 0.9452 0.8844
Sr 0.3357 0.6643 0.7500
Sr 0.6643 0.3357 0.2500
Sr 0.9452 0.0548 0.1156
Sr 0.9452 0.0548 0.3844
Sn 0.2364 0.7636 0.1024
Sn 0.2364 0.7636 0.3976
Sn 0.7636 0.2364 0.6024
Sn 0.7636 0.2364 0.8976
Ge 0.3860 0.6140 0.2500
Ge 0.3932 0.6068 0.5352
Ge 0.3932 0.6068 0.9648
Ge 0.6068 0.3932 0.0352
Ge 0.6068 0.3932 0.4648
Ge 0.6140 0.3860 0.7500

Most intense lines, 2θ from 10° to 90°, by angle:
- 2θ = 26.0°, rel. 17
- 2θ = 28.9°, rel. 16
- 2θ = 29.4°, rel. 27
- 2θ = 30.2°, rel. 72
- 2θ = 30.6°, rel. 16
- 2θ = 33.7°, rel. 100
- 2θ = 34.5°, rel. 14
- 2θ = 36.4°, rel. 46
- 2θ = 38.0°, rel. 28
- 2θ = 53.7°, rel. 21
- 2θ = 63.8°, rel. 16
- 2θ = 72.5°, rel. 17



[8]
Theoretical PXRD pattern
Compound: TcSn4Ge2
Radiation: λ = 1.5418 Å (Cu Kα)
Structure: the PBE geometry in Alexandria
Intensities are scaled so that the largest is 100.

Cell: 5.1975 5.1975 14.2819 Å, 90.00 90.00 90.00°
Atoms (fractional coordinates):
Tc 0.0000 0.0000 0.0000
Tc 0.5000 0.5000 0.5000
Sn 0.0000 0.0000 0.1864
Sn 0.0000 0.0000 0.8136
Sn 0.0000 0.5000 0.0000
Sn 0.0000 0.5000 0.5000
Sn 0.5000 0.0000 0.0000
Sn 0.5000 0.0000 0.5000
Sn 0.5000 0.5000 0.3136
Sn 0.5000 0.5000 0.6864
Ge 0.0000 0.0000 0.3694
Ge 0.0000 0.0000 0.6306
Ge 0.5000 0.5000 0.1306
Ge 0.5000 0.5000 0.8694

Most intense lines, 2θ from 10° to 90°, by angle:
- 2θ = 12.4°, rel. 29
- 2θ = 24.2°, rel. 29
- 2θ = 27.3°, rel. 69
- 2θ = 34.5°, rel. 100
- 2θ = 35.0°, rel. 31
- 2θ = 35.9°, rel. 55
- 2θ = 37.8°, rel. 22
- 2θ = 49.6°, rel. 36
- 2θ = 50.6°, rel. 41
- 2θ = 52.1°, rel. 35
- 2θ = 57.5°, rel. 19
- 2θ = 64.0°, rel. 19



[9]
Theoretical PXRD pattern
Compound: Sn2Ge2Te5
Radiation: λ = 1.5418 Å (Cu Kα)
Structure: the PBE geometry in Alexandria
Intensities are scaled so that the largest is 100.

Cell: 4.4176 8.2776 9.2318 Å, 104.81 103.80 90.08°
Atoms (fractional coordinates):
Sn 0.0531 0.2879 0.1049
Sn 0.9469 0.7121 0.8951
Ge 0.3425 0.0212 0.6832
Ge 0.6575 0.9788 0.3168
Te 0.2102 0.2013 0.4216
Te 0.4166 0.4305 0.8358
Te 0.5000 0.0000 0.0000
Te 0.5834 0.5695 0.1642
Te 0.7898 0.7987 0.5784

Most intense lines, 2θ from 10° to 90°, by angle:
- 2θ = 10.2°, rel. 34
- 2θ = 17.0°, rel. 42
- 2θ = 22.9°, rel. 46
- 2θ = 24.2°, rel. 66
- 2θ = 29.6°, rel. 69
- 2θ = 30.1°, rel. 100
- 2θ = 31.6°, rel. 77
- 2θ = 37.0°, rel. 49
- 2θ = 37.9°, rel. 35
- 2θ = 40.9°, rel. 48
- 2θ = 42.3°, rel. 31
- 2θ = 51.5°, rel. 44



[10]
Theoretical PXRD pattern
Compound: SnGe3Te4
Radiation: λ = 1.5418 Å (Cu Kα)
Structure: the PBE geometry in Alexandria
Intensities are scaled so that the largest is 100.

Cell: 4.3146 6.1180 8.6425 Å, 90.00 90.00 90.00°
Atoms (fractional coordinates):
Sn 0.0000 0.0000 0.0000
Ge 0.0000 0.0000 0.5000
Ge 0.5000 0.5000 0.2533
Ge 0.5000 0.5000 0.7467
Te 0.0000 0.5000 0.0000
Te 0.0000 0.5000 0.5000
Te 0.5000 0.0000 0.2631
Te 0.5000 0.0000 0.7369

Most intense lines, 2θ from 10° to 90°, by angle:
- 2θ = 25.2°, rel. 6
- 2θ = 29.2°, rel. 100
- 2θ = 41.8°, rel. 75
- 2θ = 49.4°, rel. 2
- 2θ = 49.5°, rel. 1
- 2θ = 51.8°, rel. 27
- 2θ = 60.5°, rel. 4
- 2θ = 60.7°, rel. 8
- 2θ = 68.7°, rel. 28
- 2θ = 68.8°, rel. 6
- 2θ = 76.3°, rel. 16
- 2θ = 76.4°, rel. 8



[11]
Theoretical PXRD pattern
Compound: Sn4GeTe5
Radiation: λ = 1.5418 Å (Cu Kα)
Structure: the PBE geometry in Alexandria
Intensities are scaled so that the largest is 100.

Cell: 18.4856 18.4856 18.4856 Å, 13.88 13.88 13.88°
Atoms (fractional coordinates):
Sn 0.1026 0.1026 0.1026
Sn 0.2991 0.2991 0.2991
Sn 0.7009 0.7009 0.7009
Sn 0.8974 0.8974 0.8974
Ge 0.5000 0.5000 0.5000
Te 0.0000 0.0000 0.0000
Te 0.1964 0.1964 0.1964
Te 0.4017 0.4017 0.4017
Te 0.5983 0.5983 0.5983
Te 0.8036 0.8036 0.8036

Most intense lines, 2θ from 10° to 90°, by angle:
- 2θ = 28.2°, rel. 100
- 2θ = 40.3°, rel. 36
- 2θ = 40.4°, rel. 39
- 2θ = 49.8°, rel. 6
- 2θ = 50.0°, rel. 21
- 2θ = 58.4°, rel. 12
- 2θ = 66.0°, rel. 16
- 2θ = 66.1°, rel. 18
- 2θ = 73.1°, rel. 5
- 2θ = 73.4°, rel. 19
- 2θ = 87.1°, rel. 4
- 2θ = 87.3°, rel. 5



[12]
Theoretical PXRD pattern
Compound: SnGe5Te7
Radiation: λ = 1.5418 Å (Cu Kα)
Structure: the PBE geometry in Alexandria
Intensities are scaled so that the largest is 100.

Cell: 4.2423 24.5293 7.4846 Å, 90.00 106.40 90.00°
Atoms (fractional coordinates):
Sn 0.1547 0.0000 0.3082
Sn 0.8453 0.5000 0.6918
Ge 0.0025 0.7383 0.0042
Ge 0.2826 0.6580 0.5658
Ge 0.2956 0.3120 0.5827
Ge 0.4177 0.8801 0.8430
Ge 0.4326 0.0909 0.8638
Ge 0.5674 0.5909 0.1362
Ge 0.5823 0.3801 0.1570
Ge 0.7044 0.8120 0.4173
Ge 0.7174 0.1580 0.4342
Ge 0.9975 0.2383 0.9958
Te 0.0867 0.8442 0.1743
Te 0.0924 0.1204 0.1858
Te 0.1867 0.5553 0.3744
Te 0.1981 0.4139 0.3940
Te 0.3570 0.2005 0.7188
Te 0.3675 0.7677 0.7300
Te 0.4901 0.4847 0.9818
Te 0.5099 0.9847 0.0182
Te 0.6325 0.2677 0.2700
Te 0.6430 0.7005 0.2812
Te 0.8019 0.9139 0.6060
Te 0.8133 0.0553 0.6256
Te 0.9076 0.6204 0.8142
Te 0.9133 0.3442 0.8257

Most intense lines, 2θ from 10° to 90°, by angle:
- 2θ = 28.3°, rel. 100
- 2θ = 29.1°, rel. 95
- 2θ = 30.2°, rel. 31
- 2θ = 31.7°, rel. 25
- 2θ = 39.8°, rel. 29
- 2θ = 40.5°, rel. 19
- 2θ = 42.2°, rel. 21
- 2θ = 42.6°, rel. 31
- 2θ = 43.1°, rel. 19
- 2θ = 44.0°, rel. 32
- 2θ = 52.0°, rel. 21
- 2θ = 74.7°, rel. 13



[13]
Theoretical PXRD pattern
Compound: Th5SnGe2
Radiation: λ = 1.5418 Å (Cu Kα)
Structure: the PBE geometry in Alexandria
Intensities are scaled so that the largest is 100.

Cell: 9.0782 9.0782 9.0782 Å, 127.78 127.78 76.99°
Atoms (fractional coordinates):
Th 0.0000 0.0000 0.0000
Th 0.0118 0.5118 0.8136
Th 0.1982 0.0118 0.5000
Th 0.3018 0.8018 0.8136
Th 0.4882 0.3018 0.5000
Th 0.5000 0.5000 0.0000
Th 0.5118 0.6982 0.5000
Th 0.6982 0.1982 0.1864
Th 0.8018 0.9882 0.5000
Th 0.9882 0.4882 0.1864
Sn 0.2500 0.2500 0.0000
Sn 0.7500 0.7500 0.0000
Ge 0.1390 0.3610 0.5000
Ge 0.3610 0.8610 0.2220
Ge 0.6390 0.1390 0.7780
Ge 0.8610 0.6390 0.5000

Most intense lines, 2θ from 10° to 90°, by angle:
- 2θ = 25.7°, rel. 28
- 2θ = 29.7°, rel. 28
- 2θ = 31.4°, rel. 100
- 2θ = 33.8°, rel. 29
- 2θ = 35.5°, rel. 55
- 2θ = 50.9°, rel. 13
- 2θ = 51.8°, rel. 15
- 2θ = 52.6°, rel. 12
- 2θ = 53.0°, rel. 11
- 2θ = 55.2°, rel. 19
- 2θ = 64.1°, rel. 12
- 2θ = 66.0°, rel. 17